# LiSi6O12
Simulated XRD peak list, Cu Kα X-rays. Input: a PBE-relaxed structure.

Top 10 peaks for 5 to 70 degrees two-theta, in order of rising 2θ:
2θ (°), I/Imax
18.47, 45
19.62, 12
25.20, 100
25.43, 82
27.08, 10
36.05, 6
47.36, 13
47.76, 22
64.84, 12
65.27, 6

Crystal structure
Cell: 14.2926 5.3309 9.0482 Å, 90.00 129.26 90.00°
Space group C2 (No. 5)
One atom of each set of equivalent atoms:
Li (0.0000, 0.0000, 0.0000)
Si (0.0000, 0.5000, 0.0000)
Si (0.0000, 0.5005, 0.5000)
Si (0.1685, 0.2932, 0.9169)
Si (0.1686, 0.7081, 0.4203)
O (0.0808, 0.2978, 0.9809)
O (0.0806, 0.7020, 0.1808)
O (0.0838, 0.3193, 0.6865)
O (0.0843, 0.6817, 0.4822)
O (0.2310, 0.9846, 0.4865)
O (0.2319, 0.0177, 0.9760)